Entry 1:
The following is a theoretical powder XRD pattern of Na3AsPd. It was derived from a crystal structure in Alexandria, relaxed with PBE, using Cu Kα (weighted mean of Kα1 and Kα2).
Peak positions follow from Bragg's law for the DFT cell and can differ from measured ones.

The 8 most intense peaks (2θ from 10° to 90°), by angle:
(hkl), 2θ/deg, Rel. int.
1 0 0, 20.04, 100
1 1 0, 35.08, 72
2 0 0, 40.73, 16
1 0 4, 42.18, 45
1 1 4, 51.69, 24
2 1 0, 54.82, 13
2 0 4, 55.99, 19
2 1 4, 67.81, 21

Structure:
```
data_Na3AsPd
_space_group_name_H-M_alt 'P 63/m m c'
_space_group_IT_number 194
_space_group_name_Hall '-P 6c 2c'
_cell_length_a 5.1164
_cell_length_b 5.1164
_cell_length_c 9.7894
_cell_angle_alpha 90.00
_cell_angle_beta 90.00
_cell_angle_gamma 120.00
loop_
_atom_site_label
_atom_site_fract_x
_atom_site_fract_y
_atom_site_fract_z
Na1 0.3333 0.6667 0.0856
Na2 0.3333 0.6667 0.7500
As1 0.0000 0.0000 0.0000
Pd1 0.0000 0.0000 0.2500
```



Entry 2:
The following is a theoretical powder XRD pattern of Na3As3Pd2. It was derived from a crystal structure in Alexandria, relaxed with PBE, using Cu Kα (weighted mean of Kα1 and Kα2).
Peak positions follow from Bragg's law for the DFT cell and can differ from measured ones.

The 8 most intense peaks (2θ from 10° to 90°), by angle:
(hkl), 2θ/deg, Rel. int.
1 0 1, 18.92, 100
1 1 1, 19.84, 86
0 3 1, 23.56, 77
0 6 0, 36.00, 53
3 0 1, 37.01, 90
1 3 2, 37.69, 55
1 4 2, 41.03, 77
1 7 1, 46.68, 62

Structure:
```
data_Na3As3Pd2
_space_group_name_H-M_alt 'P n m a'
_space_group_IT_number 62
_cell_length_a 8.032
_cell_length_b 14.967
_cell_length_c 5.777
_cell_angle_alpha 90.00
_cell_angle_beta 90.00
_cell_angle_gamma 90.00
loop_
_space_group_symop_operation_xyz
'x,y,z'
'-x,-y,-z'
'-x+1/2,-y,z+1/2'
'x+1/2,y,-z+1/2'
'x+1/2,-y+1/2,-z+1/2'
'-x+1/2,y+1/2,z+1/2'
'-x,y+1/2,-z'
'x,-y+1/2,z'
loop_
_atom_site_label
_atom_site_fract_x
_atom_site_fract_y
_atom_site_fract_z
Na1 0.025 0.115 0.107
Na2 0.132 0.750 0.429
As1 0.129 0.554 0.419
As2 0.229 0.250 0.441
Pd1 0.175 0.099 0.602
```



Entry 3:
The following is a theoretical powder XRD pattern of NaAs6Pd12. It was derived from a crystal structure in Alexandria, relaxed with PBE, using Cu Kα (weighted mean of Kα1 and Kα2).
Peak positions follow from Bragg's law for the DFT cell and can differ from measured ones.

The 8 most intense peaks (2θ from 10° to 90°), by angle:
(hkl), 2θ/deg, Rel. int.
1 0 1, 13.30, 41
1 1 0, 15.36, 30
1 3 1, 33.88, 94
0 3 3, 40.65, 100
0 4 2, 41.43, 69
0 2 4, 44.45, 19
5 0 2, 50.01, 35
3 5 1, 66.33, 21

Structure:
```
data_NaAs6Pd12
_space_group_name_H-M_alt 'R -3 m'
_space_group_IT_number 166
_space_group_name_Hall '-R 3 2"'
_cell_length_a 11.5354
_cell_length_b 11.5354
_cell_length_c 8.9282
_cell_angle_alpha 90.00
_cell_angle_beta 90.00
_cell_angle_gamma 120.00
loop_
_atom_site_label
_atom_site_fract_x
_atom_site_fract_y
_atom_site_fract_z
Na1 0.0000 0.0000 0.0000
As1 0.0436 0.5218 0.2776
Pd1 0.0000 0.3755 0.5000
Pd2 0.0891 0.1781 0.3495
```



Entry 4:
The following is a theoretical powder XRD pattern of NaAsPd. It was derived from a crystal structure in Alexandria, relaxed with PBE, using Cu Kα (weighted mean of Kα1 and Kα2).
Peak positions follow from Bragg's law for the DFT cell and can differ from measured ones.

The 8 most intense peaks (2θ from 10° to 90°), by angle:
(hkl), 2θ/deg, Rel. int.
1 0 0, 23.01, 54
0 0 1, 28.30, 52
1 0 1, 36.79, 86
1 1 0, 40.43, 100
1 1 1, 50.08, 63
2 0 1, 55.80, 25
2 1 1, 71.13, 23
3 0 0, 73.54, 49

Structure:
```
data_NaAsPd
_space_group_name_H-M_alt 'P -6 m 2'
_space_group_IT_number 187
_space_group_name_Hall 'P -6 2'
_cell_length_a 4.4625
_cell_length_b 4.4625
_cell_length_c 3.1533
_cell_angle_alpha 90.00
_cell_angle_beta 90.00
_cell_angle_gamma 120.00
loop_
_atom_site_label
_atom_site_fract_x
_atom_site_fract_y
_atom_site_fract_z
Na1 0.0000 0.0000 0.0000
As1 0.6667 0.3333 0.5000
Pd1 0.3333 0.6667 0.5000
```